Simulated powder diffractogram of La6Tb2Nd for Cu Kα, from a crystal structure in Alexandria, relaxed with GGA-PBE.
No peak broadening, texture or thermal motion is included.

Top 12 peaks for 10° ≤ 2θ ≤ 90°, sorted by position:
28.44 deg, intensity 559
29.66 deg, intensity 576
29.82 deg, intensity 1000
32.14 deg, intensity 488
36.58 deg, intensity 253
37.63 deg, intensity 319
45.19 deg, intensity 149
51.07 deg, intensity 162
52.73 deg, intensity 183
56.26 deg, intensity 238
57.84 deg, intensity 238
58.51 deg, intensity 168

Structure:
Lattice parameters (Å, degrees): 10.2224 10.2224 3.7033 90.00 90.00 124.25
Fractional coordinates of all 9 atoms:
1 La 0.0067 0.3377 0.0000
2 La 0.1748 0.1748 0.5000
3 La 0.3377 0.0067 0.0000
4 La 0.6623 0.9933 0.0000
5 La 0.8252 0.8252 0.5000
6 La 0.9933 0.6623 0.0000
7 Tb 0.3234 0.6766 0.5000
8 Tb 0.6766 0.3234 0.5000
9 Nd 0.5000 0.5000 0.0000